Diffraction record for Ce4ErSb5. The X-ray diffraction stick pattern is calculated, not measured: it uses DFT lattice parameters and positions (GGA-PBE) and CuKα.

Top 10 peaks for 10 to 90 degrees two-theta, in order of rising 2θ:
hkl	d [Å]	I/Imax
1 1 0	3.162	100
2 0 0	2.236	76
2 0 10	1.826	27
2 2 0	1.582	9
0 0 20	1.579	4
3 1 0	1.415	23
1 1 20	1.413	11
3 1 10	1.291	26
4 0 0	1.119	3
2 2 20	1.118	6

Crystal structure
a = 4.475 Å, b = 4.475 Å, c = 31.578 Å
α = 90.00°, β = 90.00°, γ = 90.00°
Space group I4/mmm (No. 139)
Asymmetric unit:
1 Ce 0.000 0.000 0.099
2 Ce 0.000 0.000 0.301
3 Er 0.000 0.000 0.500
4 Sb 0.000 0.000 0.000
5 Sb 0.000 0.000 0.200
6 Sb 0.000 0.000 0.402


Diffraction record for Ce4Pb3O4. The X-ray diffraction stick pattern is calculated, not measured: it uses DFT lattice parameters and positions (GGA-PBE) and CuKα.

Top 10 peaks for 10 to 90 degrees two-theta, in order of rising 2θ:
hkl	d [Å]	I/Imax
2 0 0	3.922	27
2 1 1	3.203	99
2 2 0	2.774	100
3 1 0	2.481	76
2 2 2	2.265	30
4 1 1	1.849	32
4 2 0	1.754	58
4 2 2	1.601	31
5 2 1	1.432	19
6 0 0	1.307	28

Crystal structure
a = 7.845 Å, b = 7.845 Å, c = 7.845 Å
α = 90.00°, β = 90.00°, γ = 90.00°
Space group I-43m (No. 217)
Asymmetric unit:
1 Ce 0.163 0.163 0.163
2 Pb 0.000 0.000 0.500
3 O 0.130 0.130 0.870


Diffraction record for BaZnP2S8. The X-ray diffraction stick pattern is calculated, not measured: it uses DFT lattice parameters and positions (GGA-PBE) and CuKα.

Top 10 peaks for 10 to 90 degrees two-theta, in order of rising 2θ:
hkl	d [Å]	I/Imax
1 0 0	5.082	58
1 0 2	3.413	100
0 0 3	3.072	31
1 1 0	2.934	44
1 1 1	2.796	74
2 -1 2	2.475	87
0 2 2	2.225	32
1 1 4	1.812	49
3 -1 2	1.773	31
3 0 0	1.694	40

Crystal structure
a = 5.8676 Å, b = 5.8676 Å, c = 9.2147 Å
α = 90.00°, β = 90.00°, γ = 120.00°
Space group P-3 (No. 147)
Asymmetric unit:
1 Ba 0.0000 0.0000 0.0000
2 Zn 0.0000 0.0000 0.5000
3 P 0.3333 0.6667 0.7426
4 S 0.0026 0.6711 0.3220
5 S 0.3333 0.6667 0.9630


Diffraction record for TlGe2F8. The X-ray diffraction stick pattern is calculated, not measured: it uses DFT lattice parameters and positions (GGA-PBE) and CuKα.

Top 10 peaks for 10 to 90 degrees two-theta, in order of rising 2θ:
hkl	d [Å]	I/Imax
1 0 0	6.638	22
1 1 0	3.832	100
0 1 1	3.399	72
1 1 1	2.753	22
2 0 1	2.543	24
3 0 0	2.213	20
1 2 1	2.119	30
2 2 0	1.916	23
1 0 2	1.896	20
0 2 2	1.699	17

Crystal structure
a = 7.6649 Å, b = 7.6649 Å, c = 3.9569 Å
α = 90.00°, β = 90.00°, γ = 120.00°
Space group P-3 (No. 147)
Asymmetric unit:
1 Tl 0.0000 0.0000 0.0000
2 Ge 0.3333 0.6667 0.2757
3 F 0.1963 0.7999 0.2744
4 F 0.3333 0.6667 0.7751


Diffraction record for NbCdSn2Ru. The X-ray diffraction stick pattern is calculated, not measured: it uses DFT lattice parameters and positions (GGA-PBE) and CuKα.

Top 10 peaks for 10 to 90 degrees two-theta, in order of rising 2θ:
hkl	d [Å]	I/Imax
1 0 0	5.276	17
1 1 1	3.054	100
0 0 2	2.659	40
2 0 0	2.638	78
2 0 2	1.873	57
2 2 0	1.866	28
1 1 3	1.601	15
3 1 1	1.592	29
2 2 2	1.527	29
2 0 4	1.187	13

Crystal structure
a = 5.276 Å, b = 5.276 Å, c = 5.319 Å
α = 90.00°, β = 90.00°, γ = 90.00°
Space group P4/mmm (No. 123)
Asymmetric unit:
1 Nb 0.000 0.000 0.000
2 Cd 0.000 0.000 0.500
3 Sn 0.000 0.500 0.000
4 Ru 0.500 0.500 0.500


Diffraction record for CuNi3Se6. The X-ray diffraction stick pattern is calculated, not measured: it uses DFT lattice parameters and positions (GGA-PBE) and CuKα.

Top 10 peaks for 10 to 90 degrees two-theta, in order of rising 2θ:
hkl	d [Å]	I/Imax
0 1 2	4.478	21
1 0 4	3.213	13
1 1 3	2.693	100
0 2 4	2.239	16
2 -1 6	2.026	58
3 -1 4	1.819	12
3 0 0	1.802	45
1 1 9	1.543	18
4 -2 3	1.498	13
2 2 6	1.347	12

Crystal structure
a = 6.2438 Å, b = 6.2438 Å, c = 15.9767 Å
α = 90.00°, β = 90.00°, γ = 120.00°
Space group R3 (No. 146, hexagonal axes)
Asymmetric unit:
1 Cu 0.0000 0.0000 0.0000
2 Ni 0.0000 0.0000 0.2001
3 Ni 0.0000 0.0000 0.5080
4 Ni 0.0000 0.0000 0.7051
5 Se 0.0029 0.6898 0.1052
6 Se 0.0392 0.3592 0.2700


Diffraction record for Al2GaCl8. The X-ray diffraction stick pattern is calculated, not measured: it uses DFT lattice parameters and positions (GGA-PBE) and CuKα.

Top 10 peaks for 10 to 90 degrees two-theta, in order of rising 2θ:
hkl	d [Å]	I/Imax
1 1 0	7.596	100
0 2 0	4.809	36
1 1 1	4.623	31
2 0 1	4.143	17
2 2 -1	3.321	67
3 1 1	3.096	36
0 0 2	3.056	15
0 4 0	2.402	15
3 3 -1	2.393	18
5 3 0	1.960	19

Crystal structure
a = 12.451 Å, b = 9.618 Å, c = 6.145 Å
α = 90.00°, β = 95.88°, γ = 90.00°
Space group C2/m (No. 12)
Asymmetric unit:
1 Al 0.194 0.000 0.150
2 Ga 0.000 0.000 0.500
3 Cl 0.104 0.176 0.269
4 Cl 0.142 0.500 0.734
5 Cl 0.178 0.000 0.793


Diffraction record for Cs2LiHg7. The X-ray diffraction stick pattern is calculated, not measured: it uses DFT lattice parameters and positions (GGA-PBE) and CuKα.

Top 10 peaks for 10 to 90 degrees two-theta, in order of rising 2θ:
hkl	d [Å]	I/Imax
1 1 0	5.657	21
2 0 2	3.266	100
2 2 0	2.828	91
2 1 3	2.596	15
4 0 0	2.000	66
2 0 6	1.708	15
4 2 2	1.705	29
4 0 4	1.633	23
6 0 2	1.298	16
6 2 0	1.264	19

Crystal structure
a = 7.993 Å, b = 7.993 Å, c = 11.332 Å
α = 90.00°, β = 90.00°, γ = 90.00°
Space group I4/mmm (No. 139)
Asymmetric unit:
1 Cs 0.000 0.500 0.250
2 Li 0.000 0.000 0.000
3 Hg 0.000 0.000 0.236
4 Hg 0.000 0.000 0.500
5 Hg 0.236 0.236 0.000